Calculated X-ray powder pattern
Compound: VPH5O7
Radiation: Cu Kα
Structure: a DFT-relaxed cell (PBE+U, Alexandria)

Peak list (8 most intense, 10 to 90 degrees two-theta, most intense first)
d 7.676, intensity 100.0
d 3.322, intensity 80.8
d 2.982, intensity 59.2
d 3.776, intensity 54.4
d 3.362, intensity 18.7
d 5.208, intensity 17.5
d 5.706, intensity 16.9
d 2.404, intensity 15.2

Atomic structure:
```
data_VPH5O7
_space_group_name_H-M_alt 'P 1 21/c 1'
_space_group_IT_number 14
_cell_length_a 7.8141
_cell_length_b 7.0895
_cell_length_c 9.7854
_cell_angle_alpha 90.00
_cell_angle_beta 100.80
_cell_angle_gamma 90.00
loop_
_space_group_symop_operation_xyz
'x,y,z'
'-x,-y,-z'
'-x,y+1/2,-z+1/2'
'x,-y+1/2,z+1/2'
loop_
_atom_site_label
_atom_site_type_symbol
_atom_site_fract_x
_atom_site_fract_y
_atom_site_fract_z
V1 V 0.0423 0.1315 0.2429
P1 P 0.2275 0.6514 0.9974
H1 H 0.1971 0.1132 0.0526
H2 H 0.3119 0.5385 0.2111
H3 H 0.4057 0.0066 0.2014
H4 H 0.4764 0.7105 0.5823
H5 H 0.4910 0.1514 0.6960
O1 O 0.0432 0.1333 0.7912
O2 O 0.1083 0.6855 0.4433
O3 O 0.1924 0.0323 0.4176
O4 O 0.2118 0.6208 0.1569
O5 O 0.2377 0.1136 0.1536
O6 O 0.4255 0.7048 0.0011
O7 O 0.4802 0.0730 0.7767
```